Record 1
This entry pairs a crystal structure of Mg2Os2F with its calculated X-ray powder pattern. Radiation: Cu Kα, 1.54184 Å. Structure: a cell relaxed with GGA-PBE.
Neutral-atom scattering factors, no anomalous dispersion.

Principal peaks in the range 15° ≤ 2θ ≤ 90°, low angle first:
d_spacing  2theta  intensity  (hkl)
5.702  15.54  100  1 1 0
3.607  24.69  41  2 1 0
2.755  32.50  15  0 0 1
2.481  36.21  32  1 1 1
2.237  40.32  45  3 2 0
2.189  41.23  41  2 1 1
1.737  52.71  35  3 2 1
1.627  56.56  15  4 0 1
1.372  68.39  14  5 1 1
1.173  82.18  12  3 2 2

Crystal structure
```
data_Mg2Os2F
_cell_length_a 8.0644
_cell_length_b 8.0644
_cell_length_c 2.7554
_cell_angle_alpha 90.00
_cell_angle_beta 90.00
_cell_angle_gamma 90.00
_space_group_name_H-M_alt 'P 4/m b m'
_space_group_IT_number 127
_space_group_name_Hall '-P 4 2ab'
loop_
_atom_site_label
_atom_site_fract_x
_atom_site_fract_y
_atom_site_fract_z
_atom_site_occupancy
Mg1 0.1892 0.3108 0.0000 1
Os1 0.1009 0.6009 0.5000 1
F1 0.0000 0.0000 0.0000 1
```


Record 2
This entry pairs a crystal structure of MgPF with its calculated X-ray powder pattern. Radiation: Cu Kα, 1.54184 Å. Structure: a cell relaxed with GGA-PBE.
Neutral-atom scattering factors, no anomalous dispersion.

Principal peaks in the range 15° ≤ 2θ ≤ 90°, low angle first:
d_spacing  2theta  intensity  (hkl)
3.125  28.57  31  0 4 0
3.041  29.37  100  0 3 1
2.431  36.97  98  1 2 1
2.095  43.18  18  0 2 2
2.016  44.96  45  1 4 1
1.821  50.10  31  1 1 2
1.812  50.36  15  0 4 2
1.640  56.10  21  2 0 0
1.635  56.26  31  1 6 1
1.443  64.58  18  2 3 1

Crystal structure
```
data_MgPF
_cell_length_a 3.2791
_cell_length_b 12.4989
_cell_length_c 4.4476
_cell_angle_alpha 90.00
_cell_angle_beta 90.00
_cell_angle_gamma 90.00
_space_group_name_H-M_alt 'I m m 2'
_space_group_IT_number 44
loop_
_space_group_symop_operation_xyz
'x,y,z'
'-x,-y,z'
'-x,y,z'
'x,-y,z'
'x+1/2,y+1/2,z+1/2'
'-x+1/2,-y+1/2,z+1/2'
'-x+1/2,y+1/2,z+1/2'
'x+1/2,-y+1/2,z+1/2'
loop_
_atom_site_label
_atom_site_fract_x
_atom_site_fract_y
_atom_site_fract_z
_atom_site_occupancy
Mg1 0.0000 0.1578 0.0000 1
P1 0.0000 0.0000 0.3860 1
P2 0.0000 0.5000 0.2232 1
F1 0.0000 0.2625 0.6538 1
```


Record 3
This entry pairs a crystal structure of MgPbF4 with its calculated X-ray powder pattern. Radiation: Cu Kα, 1.54184 Å. Structure: a cell relaxed with GGA-PBE.
Neutral-atom scattering factors, no anomalous dispersion.

Principal peaks in the range 15° ≤ 2θ ≤ 90°, low angle first:
d_spacing  2theta  intensity  (hkl)
4.531  19.59  82  0 2 1
3.711  23.98  26  0 4 0
3.215  27.75  100  1 1 1
3.119  28.62  100  1 3 0
2.860  31.28  24  0 0 2
2.304  39.10  20  1 1 2
2.205  40.93  50  1 5 1
2.109  42.87  58  1 3 2
2.014  45.02  21  2 0 0
1.765  51.80  19  0 8 1

Crystal structure
```
data_MgPbF4
_cell_length_a 4.0277
_cell_length_b 14.8448
_cell_length_c 5.7196
_cell_angle_alpha 90.00
_cell_angle_beta 90.00
_cell_angle_gamma 90.00
_space_group_name_H-M_alt 'C m c 21'
_space_group_IT_number 36
loop_
_space_group_symop_operation_xyz
'x,y,z'
'-x,-y,z+1/2'
'-x,y,z'
'x,-y,z+1/2'
'x+1/2,y+1/2,z'
'-x+1/2,-y+1/2,z+1/2'
'-x+1/2,y+1/2,z'
'x+1/2,-y+1/2,z+1/2'
loop_
_atom_site_label
_atom_site_fract_x
_atom_site_fract_y
_atom_site_fract_z
_atom_site_occupancy
Mg1 0.0000 0.0832 0.0000 1
Pb1 0.0000 0.3411 0.9551 1
F1 0.0000 0.0312 0.3261 1
F2 0.0000 0.1634 0.7185 1
F3 0.0000 0.2018 0.1917 1
F4 0.0000 0.4119 0.5129 1
```


Record 4
This entry pairs a crystal structure of MgPbF4 with its calculated X-ray powder pattern. Radiation: Cu Kα, 1.54184 Å. Structure: a cell relaxed with GGA-PBE.
Neutral-atom scattering factors, no anomalous dispersion.

Principal peaks in the range 15° ≤ 2θ ≤ 90°, low angle first:
d_spacing  2theta  intensity  (hkl)
5.527  16.04  51  1 1 0
4.876  18.20  100  1 1 -1
3.625  24.56  98  0 2 1
3.382  26.35  51  2 0 0
3.360  26.53  40  1 1 1
2.924  30.57  58  2 2 -1
2.889  30.95  25  1 3 0
2.216  40.72  39  1 3 -2
2.183  41.36  42  2 2 1
1.873  48.60  31  2 2 -3

Crystal structure
```
data_MgPbF4
_cell_length_a 7.5154
_cell_length_b 9.5861
_cell_length_c 6.1546
_cell_angle_alpha 90.00
_cell_angle_beta 115.83
_cell_angle_gamma 90.00
_space_group_name_H-M_alt 'C 1 2/c 1'
_space_group_IT_number 15
loop_
_space_group_symop_operation_xyz
'x,y,z'
'-x,-y,-z'
'-x,y,-z+1/2'
'x,-y,z+1/2'
'x+1/2,y+1/2,z'
'-x+1/2,-y+1/2,-z'
'-x+1/2,y+1/2,-z+1/2'
'x+1/2,-y+1/2,z+1/2'
loop_
_atom_site_label
_atom_site_fract_x
_atom_site_fract_y
_atom_site_fract_z
_atom_site_occupancy
Mg1 0.0000 0.0158 0.2500 1
Pb1 0.0000 0.3674 0.7500 1
F1 0.0223 0.1376 0.9952 1
F2 0.2034 0.4844 0.5864 1
```


Record 5
This entry pairs a crystal structure of Mg2Tl3PbF9 with its calculated X-ray powder pattern. Radiation: Cu Kα, 1.54184 Å. Structure: a cell relaxed with GGA-PBE.
Neutral-atom scattering factors, no anomalous dispersion.

Principal peaks in the range 15° ≤ 2θ ≤ 90°, low angle first:
d_spacing  2theta  intensity  (hkl)
4.361  20.37  41  1 0 1
3.140  28.43  100  0 1 2
3.030  29.48  84  1 1 0
2.488  36.10  26  0 2 1
2.180  41.41  59  2 0 2
1.770  51.65  38  1 2 2
1.749  52.29  18  3 0 0
1.515  61.17  17  2 2 0
1.394  67.17  17  2 1 4
1.365  68.80  18  3 1 2

Crystal structure
```
data_Mg2Tl3PbF9
_cell_length_a 6.0601
_cell_length_b 6.0601
_cell_length_c 7.8373
_cell_angle_alpha 90.00
_cell_angle_beta 90.00
_cell_angle_gamma 120.00
_space_group_name_H-M_alt 'P -3 m 1'
_space_group_IT_number 164
_space_group_name_Hall '-P 3 2"'
loop_
_atom_site_label
_atom_site_fract_x
_atom_site_fract_y
_atom_site_fract_z
_atom_site_occupancy
Mg1 0.3333 0.6667 0.1496 1
Tl1 0.0000 0.0000 0.0000 1
Tl2 0.3333 0.6667 0.7001 1
Pb1 0.0000 0.0000 0.5000 1
F1 0.0000 0.5000 0.0000 1
F2 0.1775 0.3550 0.2954 1
```


Record 6
This entry pairs a crystal structure of Mg2ZnPbF8 with its calculated X-ray powder pattern. Radiation: Cu Kα, 1.54184 Å. Structure: a cell relaxed with GGA-PBE.
Neutral-atom scattering factors, no anomalous dispersion.

Principal peaks in the range 15° ≤ 2θ ≤ 90°, low angle first:
d_spacing  2theta  intensity  (hkl)
4.996  17.75  100  1 0 0
3.990  22.28  44  1 1 0
3.585  24.83  72  1 0 -1
3.483  25.58  58  1 0 1
2.762  32.42  86  1 2 0
2.401  37.46  52  1 2 1
2.261  39.88  32  1 0 -2
1.995  45.47  26  0 2 2
1.867  48.76  54  2 2 -1
1.838  49.60  39  2 2 1

Crystal structure
```
data_Mg2ZnPbF8
_cell_length_a 4.9935
_cell_length_b 6.6276
_cell_length_c 5.0032
_cell_angle_alpha 90.00
_cell_angle_beta 91.66
_cell_angle_gamma 90.00
_space_group_name_H-M_alt 'P 1 2/m 1'
_space_group_IT_number 10
loop_
_space_group_symop_operation_xyz
'x,y,z'
'-x,-y,-z'
'-x,y,-z'
'x,-y,z'
loop_
_atom_site_label
_atom_site_fract_x
_atom_site_fract_y
_atom_site_fract_z
_atom_site_occupancy
Mg1 0.0000 0.2348 0.0000 1
Zn1 0.5000 0.0000 0.5000 1
Pb1 0.5000 0.5000 0.5000 1
F1 0.1671 0.5000 0.8367 1
F2 0.1943 0.0000 0.8075 1
F3 0.2846 0.2130 0.2870 1
```


Record 7
This entry pairs a crystal structure of PmMgF6 with its calculated X-ray powder pattern. Radiation: Cu Kα, 1.54184 Å. Structure: a cell relaxed with GGA-PBE.
Neutral-atom scattering factors, no anomalous dispersion.

Principal peaks in the range 15° ≤ 2θ ≤ 90°, low angle first:
d_spacing  2theta  intensity  (hkl)
5.263  16.84  65  0 0 1
4.339  20.47  79  1 1 0
3.530  25.23  100  1 1 -1
3.477  25.62  52  0 2 0
3.192  27.96  80  1 1 1
2.360  38.14  43  1 1 -2
2.333  38.59  31  2 0 1
2.098  43.11  36  0 2 2
1.948  46.63  51  1 3 1
1.764  51.83  48  3 1 -1

Crystal structure
```
data_PmMgF6
_cell_length_a 5.6011
_cell_length_b 6.9539
_cell_length_c 5.3091
_cell_angle_alpha 90.00
_cell_angle_beta 97.53
_cell_angle_gamma 90.00
_space_group_name_H-M_alt 'C 1 2/m 1'
_space_group_IT_number 12
loop_
_space_group_symop_operation_xyz
'x,y,z'
'-x,-y,-z'
'-x,y,-z'
'x,-y,z'
'x+1/2,y+1/2,z'
'-x+1/2,-y+1/2,-z'
'-x+1/2,y+1/2,-z'
'x+1/2,-y+1/2,z'
loop_
_atom_site_label
_atom_site_fract_x
_atom_site_fract_y
_atom_site_fract_z
_atom_site_occupancy
Pm1 0.0000 0.0000 0.0000 1
Mg1 0.0000 0.5000 0.5000 1
F1 0.1578 0.3266 0.7830 1
F2 0.2049 0.0000 0.6566 1
```


Record 8
This entry pairs a crystal structure of Rb2PmMgF6 with its calculated X-ray powder pattern. Radiation: Cu Kα, 1.54184 Å. Structure: a cell relaxed with GGA-PBE.
Neutral-atom scattering factors, no anomalous dispersion.

Principal peaks in the range 15° ≤ 2θ ≤ 90°, low angle first:
d_spacing  2theta  intensity  (hkl)
5.310  16.70  14  0 1 1
4.932  17.98  27  1 0 1
3.335  26.73  32  0 2 0
3.123  28.59  100  1 1 2
2.982  29.97  22  2 0 0
2.223  40.59  42  2 2 0
2.194  41.15  21  0 0 4
1.882  48.37  24  1 3 2
1.747  52.36  20  3 1 2
1.561  59.18  25  2 2 4

Crystal structure
```
data_Rb2PmMgF6
_cell_length_a 5.9635
_cell_length_b 6.6699
_cell_length_c 8.7743
_cell_angle_alpha 90.00
_cell_angle_beta 90.00
_cell_angle_gamma 90.00
_space_group_name_H-M_alt 'I m m m'
_space_group_IT_number 71
_space_group_name_Hall '-I 2 2'
loop_
_atom_site_label
_atom_site_fract_x
_atom_site_fract_y
_atom_site_fract_z
_atom_site_occupancy
Rb1 0.0000 0.0000 0.2407 1
Pm1 0.0000 0.5000 0.0000 1
Mg1 0.0000 0.5000 0.5000 1
F1 0.0000 0.5000 0.2632 1
F2 0.2473 0.2100 0.0000 1
```


Record 9
This entry pairs a crystal structure of PmMgTlF6 with its calculated X-ray powder pattern. Radiation: Cu Kα, 1.54184 Å. Structure: a cell relaxed with GGA-PBE.
Neutral-atom scattering factors, no anomalous dispersion.

Principal peaks in the range 15° ≤ 2θ ≤ 90°, low angle first:
d_spacing  2theta  intensity  (hkl)
5.139  17.26  46  0 0 2
3.713  23.97  39  1 1 2
3.664  24.29  30  2 0 0
3.292  27.08  100  1 2 1
3.143  28.40  24  0 1 3
2.984  29.95  32  2 0 2
2.440  36.84  21  1 2 3
2.386  37.71  23  2 1 3
2.036  44.49  31  3 2 1
1.857  49.07  24  2 2 4

Crystal structure
```
data_PmMgTlF6
_cell_length_a 7.3289
_cell_length_b 7.8955
_cell_length_c 10.2776
_cell_angle_alpha 90.00
_cell_angle_beta 90.00
_cell_angle_gamma 90.00
_space_group_name_H-M_alt 'I m m a'
_space_group_IT_number 74
_space_group_name_Hall '-I 2b 2'
loop_
_atom_site_label
_atom_site_fract_x
_atom_site_fract_y
_atom_site_fract_z
_atom_site_occupancy
Pm1 0.0000 0.0000 0.0000 1
Mg1 0.2500 0.2500 0.2500 1
Tl1 0.0000 0.2500 0.5785 1
F1 0.0000 0.2500 0.1742 1
F2 0.0000 0.2500 0.8875 1
F3 0.2301 0.0671 0.3847 1
```


Record 10
This entry pairs a crystal structure of Rb3MgF4 with its calculated X-ray powder pattern. Radiation: Cu Kα, 1.54184 Å. Structure: a cell relaxed with GGA-PBE.
Neutral-atom scattering factors, no anomalous dispersion.

Principal peaks in the range 15° ≤ 2θ ≤ 90°, low angle first:
d_spacing  2theta  intensity  (hkl)
4.911  18.06  13  1 0 1
3.716  23.95  34  0 0 2
3.334  26.74  100  1 2 1
3.271  27.26  30  2 0 0
2.455  36.60  29  2 0 2
2.129  42.46  13  2 3 1
2.064  43.87  24  1 2 3
1.901  47.86  19  3 2 1
1.667  55.08  13  2 4 2
1.540  60.09  14  3 2 3

Crystal structure
```
data_Rb3MgF4
_cell_length_a 6.5428
_cell_length_b 9.0837
_cell_length_c 7.4320
_cell_angle_alpha 90.00
_cell_angle_beta 90.00
_cell_angle_gamma 90.00
_space_group_name_H-M_alt 'I m m 2'
_space_group_IT_number 44
loop_
_space_group_symop_operation_xyz
'x,y,z'
'-x,-y,z'
'-x,y,z'
'x,-y,z'
'x+1/2,y+1/2,z+1/2'
'-x+1/2,-y+1/2,z+1/2'
'-x+1/2,y+1/2,z+1/2'
'x+1/2,-y+1/2,z+1/2'
loop_
_atom_site_label
_atom_site_fract_x
_atom_site_fract_y
_atom_site_fract_z
_atom_site_occupancy
Rb1 0.0000 0.0000 0.0000 1
Rb2 0.0000 0.2296 0.5745 1
Mg1 0.0000 0.5000 0.0618 1
F1 0.0000 0.3120 0.9446 1
F2 0.2418 0.5000 0.2069 1
```


Record 11
This entry pairs a crystal structure of Rb2MgF7 with its calculated X-ray powder pattern. Radiation: Cu Kα, 1.54184 Å. Structure: a cell relaxed with GGA-PBE.
Neutral-atom scattering factors, no anomalous dispersion.

Principal peaks in the range 15° ≤ 2θ ≤ 90°, low angle first:
d_spacing  2theta  intensity  (hkl)
4.162  21.35  20  1 1 0
3.146  28.36  100  1 1 2
2.943  30.37  39  2 0 0
2.510  35.77  87  2 0 2
2.403  37.42  33  0 0 4
2.081  43.48  59  2 2 0
1.861  48.93  21  2 0 4
1.736  52.74  34  3 1 2
1.573  58.68  31  2 2 4
1.472  63.18  22  4 0 0

Crystal structure
```
data_Rb2MgF7
_cell_length_a 5.8862
_cell_length_b 5.8862
_cell_length_c 9.6134
_cell_angle_alpha 90.00
_cell_angle_beta 90.00
_cell_angle_gamma 90.00
_space_group_name_H-M_alt 'I 4/m m m'
_space_group_IT_number 139
_space_group_name_Hall '-I 4 2'
loop_
_atom_site_label
_atom_site_fract_x
_atom_site_fract_y
_atom_site_fract_z
_atom_site_occupancy
Rb1 0.0000 0.5000 0.2500 1
Mg1 0.0000 0.0000 0.0000 1
F1 0.0000 0.0000 0.2011 1
F2 0.0000 0.0000 0.5000 1
F3 0.2413 0.2413 0.0000 1
```


Record 12
This entry pairs a crystal structure of RbSr2MgF8 with its calculated X-ray powder pattern. Radiation: Cu Kα, 1.54184 Å. Structure: a cell relaxed with GGA-PBE.
Neutral-atom scattering factors, no anomalous dispersion.

Principal peaks in the range 15° ≤ 2θ ≤ 90°, low angle first:
d_spacing  2theta  intensity  (hkl)
3.642  24.44  66  1 0 -1
3.295  27.06  100  0 2 1
3.190  27.97  60  1 0 1
2.994  29.84  24  1 2 0
2.169  41.64  31  2 0 0
2.115  42.75  67  1 2 -2
2.069  43.75  22  0 4 0
1.927  47.15  40  1 2 2
1.884  48.31  23  2 2 -1
1.799  50.75  17  1 4 -1

Crystal structure
```
data_RbSr2MgF8
_cell_length_a 4.3785
_cell_length_b 8.2762
_cell_length_c 5.4974
_cell_angle_alpha 90.00
_cell_angle_beta 97.76
_cell_angle_gamma 90.00
_space_group_name_H-M_alt 'P 1 2/m 1'
_space_group_IT_number 10
loop_
_space_group_symop_operation_xyz
'x,y,z'
'-x,-y,-z'
'-x,y,-z'
'x,-y,z'
loop_
_atom_site_label
_atom_site_fract_x
_atom_site_fract_y
_atom_site_fract_z
_atom_site_occupancy
Rb1 0.0000 0.0000 0.0000 1
Sr1 0.5000 0.2706 0.5000 1
Mg1 0.0000 0.5000 0.0000 1
F1 0.0544 0.3070 0.7593 1
F2 0.4079 0.5000 0.2178 1
F3 0.4502 0.0000 0.7053 1
```


Record 13
This entry pairs a crystal structure of RbMgTlF4 with its calculated X-ray powder pattern. Radiation: Cu Kα, 1.54184 Å. Structure: a cell relaxed with GGA-PBE.
Neutral-atom scattering factors, no anomalous dispersion.

Principal peaks in the range 15° ≤ 2θ ≤ 90°, low angle first:
d_spacing  2theta  intensity  (hkl)
3.945  22.54  56  1 0 1
3.565  24.97  24  0 0 4
3.107  28.73  100  1 0 3
2.902  30.81  59  1 1 0
2.688  33.33  22  1 1 2
2.251  40.06  51  1 1 4
2.052  44.13  34  2 0 0
1.839  49.57  19  1 1 6
1.712  53.51  37  2 1 3
1.553  59.51  17  2 0 6

Crystal structure
```
data_RbMgTlF4
_cell_length_a 4.1047
_cell_length_b 4.1047
_cell_length_c 14.2619
_cell_angle_alpha 90.00
_cell_angle_beta 90.00
_cell_angle_gamma 90.00
_space_group_name_H-M_alt 'I 4 m m'
_space_group_IT_number 107
_space_group_name_Hall 'I 4 -2'
loop_
_atom_site_label
_atom_site_fract_x
_atom_site_fract_y
_atom_site_fract_z
_atom_site_occupancy
Rb1 0.0000 0.0000 0.0000 1
Mg1 0.0000 0.0000 0.6525 1
Tl1 0.0000 0.0000 0.2975 1
F1 0.0000 0.0000 0.5121 1
F2 0.0000 0.0000 0.7946 1
F3 0.0000 0.5000 0.1539 1
```